(1)
NbTlAgTeSe2: simulated PXRD pattern (a wavelength of 1.5418 Å), based on a DFT-relaxed cell (PBE, OQMD).
Kinematic intensities with the Lorentz-polarization factor, no thermal factor.

Largest 10 diffraction maxima, in order of rising 2θ, 5° ≤ 2θ ≤ 70°:
- 16.6°, rel. 21
- 20.1°, rel. 16
- 30.7°, rel. 100
- 33.5°, rel. 45
- 34.0°, rel. 46
- 38.4°, rel. 21
- 39.0°, rel. 32
- 49.0°, rel. 18
- 52.3°, rel. 31
- 60.6°, rel. 16

Structural model:
Lattice parameters (Å, degrees): 8.038 8.038 10.704 90.00 90.00 153.23
Positions (direct):
Nb 0.000 0.000 0.000
Nb 0.000 0.000 0.500
Tl 0.230 0.770 0.750
Tl 0.770 0.230 0.250
Ag 0.448 0.552 0.250
Ag 0.552 0.448 0.750
Te 0.083 0.917 0.250
Te 0.917 0.083 0.750
Se 0.380 0.620 0.032
Se 0.380 0.620 0.468
Se 0.620 0.380 0.532
Se 0.620 0.380 0.968

(2)
Pm3Zr4: simulated PXRD pattern (a wavelength of 1.5418 Å), based on a DFT-relaxed cell (PBE, OQMD).
Kinematic intensities with the Lorentz-polarization factor, no thermal factor.

Largest 10 diffraction maxima, in order of rising 2θ, 5° ≤ 2θ ≤ 70°:
- 25.6°, rel. 7
- 30.3°, rel. 26
- 32.9°, rel. 27
- 34.5°, rel. 100
- 45.3°, rel. 17
- 53.8°, rel. 18
- 59.8°, rel. 20
- 64.5°, rel. 19
- 65.5°, rel. 13
- 69.0°, rel. 3

Structural model:
Lattice parameters (Å, degrees): 9.024 9.024 5.444 90.00 90.00 120.00
Positions (direct):
Pm 0.095 0.633 0.250
Pm 0.367 0.462 0.250
Pm 0.462 0.095 0.750
Pm 0.538 0.905 0.250
Pm 0.633 0.538 0.750
Pm 0.905 0.367 0.750
Zr 0.052 0.831 0.750
Zr 0.169 0.221 0.750
Zr 0.221 0.052 0.250
Zr 0.333 0.667 0.750
Zr 0.667 0.333 0.250
Zr 0.779 0.948 0.750
Zr 0.831 0.779 0.250
Zr 0.948 0.169 0.250

(3)
Nd2SmFe2B2N3: simulated PXRD pattern (a wavelength of 1.5418 Å), based on a DFT-relaxed cell (PBE, OQMD).
Kinematic intensities with the Lorentz-polarization factor, no thermal factor.

Largest 10 diffraction maxima, in order of rising 2θ, 5° ≤ 2θ ≤ 70°:
- 28.1°, rel. 100
- 33.1°, rel. 80
- 34.7°, rel. 53
- 35.5°, rel. 42
- 36.6°, rel. 41
- 39.7°, rel. 31
- 51.1°, rel. 38
- 59.4°, rel. 27
- 62.3°, rel. 27
- 63.3°, rel. 35

Structural model:
Lattice parameters (Å, degrees): 10.656 10.656 10.656 160.70 160.70 27.43
Positions (direct):
Nd 0.125 0.125 0.000
Nd 0.875 0.875 0.000
Sm 0.500 0.500 0.000
Fe 0.250 0.750 0.500
Fe 0.750 0.250 0.500
B 0.311 0.311 0.000
B 0.689 0.689 0.000
N 0.000 0.000 0.000
N 0.382 0.382 0.000
N 0.618 0.618 0.000

Question: Which formula does entry 1 have?
Answer: NbTlAgTeSe2

Question: Number 2 is which compound?
Answer: Pm3Zr4